Entry 1:
Starting from a structure optimized by DFT (PBE), the powder diffractogram of PmPr2TmTl2 was computed for copper Kα.

Principal peaks in the range 2θ = 10–90°, in order of falling intensity:
2θ = 31.38°, d = 2.850 Å, I 1000; 2θ = 32.03°, d = 2.794 Å, I 843; 2θ = 30.79°, d = 2.904 Å, I 628; 2θ = 34.67°, d = 2.587 Å, I 614; 2θ = 33.95°, d = 2.641 Å, I 381; 2θ = 36.72°, d = 2.447 Å, I 261; 2θ = 58.40°, d = 1.580 Å, I 227; 2θ = 29.08°, d = 3.071 Å, I 212; 2θ = 51.39°, d = 1.778 Å, I 201; 2θ = 30.89°, d = 2.895 Å, I 199

Structural model:
```
PmPr2TmTl2
1.0
5.175 0.000 0.000
0.000 10.245 0.000
0.000 0.000 7.018
Pm Pr Tm Tl
2 4 2 4
direct
0.000 0.046 0.000
0.000 0.954 0.500
0.000 0.317 0.375
0.000 0.683 0.875
0.500 0.451 0.099
0.500 0.549 0.599
0.500 0.187 0.713
0.500 0.813 0.213
0.000 0.354 0.837
0.000 0.646 0.337
0.500 0.122 0.264
0.500 0.878 0.764
```


Entry 2:
Starting from a structure optimized by DFT (PBE), the powder diffractogram of Pm3Pr3Tm8 was computed for copper Kα.

Principal peaks in the range 2θ = 10–90°, in order of falling intensity:
2θ = 31.87°, d = 2.808 Å, I 1000; 2θ = 33.43°, d = 2.680 Å, I 590; 2θ = 31.64°, d = 2.828 Å, I 521; 2θ = 30.59°, d = 2.922 Å, I 327; 2θ = 29.50°, d = 3.028 Å, I 300; 2θ = 44.59°, d = 2.032 Å, I 234; 2θ = 56.50°, d = 1.629 Å, I 198; 2θ = 62.48°, d = 1.487 Å, I 151; 2θ = 61.38°, d = 1.510 Å, I 128; 2θ = 57.50°, d = 1.603 Å, I 125

Structural model:
```
Pm3Pr3Tm8
1.0
6.057 -7.609 0.000
6.057 7.609 0.000
-2.635 0.000 5.004
Pm Pr Tm
3 3 8
direct
0.000 0.000 0.000
0.302 0.302 0.301
0.698 0.698 0.699
0.311 0.689 0.500
0.500 0.500 0.000
0.689 0.311 0.500
0.057 0.261 0.659
0.057 0.618 0.838
0.261 0.057 0.659
0.382 0.943 0.162
0.618 0.057 0.838
0.739 0.943 0.341
0.943 0.382 0.162
0.943 0.739 0.341
```


Entry 3:
Starting from a structure optimized by DFT (PBE), the powder diffractogram of Pm2PrTm12 was computed for copper Kα.

Principal peaks in the range 2θ = 10–90°, in order of falling intensity:
2θ = 31.39°, d = 2.850 Å, I 1000; 2θ = 32.11°, d = 2.788 Å, I 834; 2θ = 30.69°, d = 2.914 Å, I 722; 2θ = 32.64°, d = 2.743 Å, I 387; 2θ = 34.02°, d = 2.635 Å, I 370; 2θ = 46.44°, d = 1.955 Å, I 292; 2θ = 36.50°, d = 2.462 Å, I 266; 2θ = 34.42°, d = 2.605 Å, I 261; 2θ = 62.18°, d = 1.493 Å, I 254; 2θ = 34.48°, d = 2.601 Å, I 251

Structural model:
```
Pm2PrTm12
1.0
3.535 -5.575 0.000
3.535 5.575 0.000
-1.717 0.000 23.922
Pm Pr Tm
4 2 24
direct
0.071 0.071 0.282
0.428 0.428 0.717
0.572 0.572 0.283
0.929 0.929 0.718
0.249 0.249 0.000
0.751 0.751 0.000
0.033 0.033 0.138
0.047 0.547 0.193
0.084 0.583 0.331
0.139 0.638 0.555
0.142 0.142 0.571
0.233 0.732 0.932
0.268 0.767 0.068
0.358 0.358 0.429
0.362 0.861 0.445
0.417 0.916 0.669
0.453 0.953 0.807
0.466 0.466 0.862
0.534 0.534 0.138
0.547 0.047 0.193
0.583 0.084 0.331
0.638 0.139 0.555
0.642 0.642 0.571
0.732 0.233 0.932
0.767 0.268 0.068
0.858 0.858 0.429
0.861 0.362 0.445
0.916 0.417 0.669
0.953 0.453 0.807
0.967 0.967 0.862
```


Entry 4:
Starting from a structure optimized by DFT (PBE), the powder diffractogram of Pm7Pr16Tm6 was computed for copper Kα.

Principal peaks in the range 2θ = 10–90°, in order of falling intensity:
2θ = 31.32°, d = 2.856 Å, I 1000; 2θ = 55.74°, d = 1.649 Å, I 287; 2θ = 44.88°, d = 2.020 Å, I 149; 2θ = 74.24°, d = 1.277 Å, I 85; 2θ = 65.34°, d = 1.428 Å, I 81; 2θ = 28.71°, d = 3.110 Å, I 78; 2θ = 27.03°, d = 3.298 Å, I 64; 2θ = 32.79°, d = 2.731 Å, I 52; 2θ = 24.64°, d = 3.613 Å, I 51; 2θ = 35.12°, d = 2.555 Å, I 51

Structural model:
```
Pm7Pr16Tm6
1.0
0.000 8.079 8.079
8.079 0.000 8.079
8.079 8.079 0.000
Pm Pr Tm
7 16 6
direct
0.000 0.000 0.000
0.000 0.000 0.500
0.000 0.500 0.000
0.000 0.500 0.500
0.500 0.000 0.000
0.500 0.000 0.500
0.500 0.500 0.000
0.051 0.650 0.650
0.125 0.125 0.125
0.125 0.125 0.625
0.125 0.625 0.125
0.350 0.350 0.350
0.350 0.350 0.949
0.350 0.949 0.350
0.375 0.875 0.875
0.625 0.125 0.125
0.650 0.051 0.650
0.650 0.650 0.051
0.650 0.650 0.650
0.875 0.375 0.875
0.875 0.875 0.375
0.875 0.875 0.875
0.949 0.350 0.350
0.262 0.262 0.738
0.262 0.738 0.262
0.262 0.738 0.738
0.738 0.262 0.262
0.738 0.262 0.738
0.738 0.738 0.262
```


Entry 5:
Starting from a structure optimized by DFT (PBE), the powder diffractogram of Pm2Pr2Tm15 was computed for copper Kα.

Principal peaks in the range 2θ = 10–90°, in order of falling intensity:
2θ = 31.71°, d = 2.822 Å, I 1000; 2θ = 35.61°, d = 2.521 Å, I 993; 2θ = 31.87°, d = 2.808 Å, I 894; 2θ = 31.18°, d = 2.869 Å, I 441; 2θ = 56.81°, d = 1.621 Å, I 436; 2θ = 27.69°, d = 3.222 Å, I 332; 2θ = 27.52°, d = 3.241 Å, I 313; 2θ = 55.81°, d = 1.647 Å, I 261; 2θ = 66.24°, d = 1.411 Å, I 224; 2θ = 51.36°, d = 1.779 Å, I 197

Structural model:
```
Pm2Pr2Tm15
1.0
5.613 3.241 5.738
-5.613 3.241 5.738
0.000 -6.482 5.738
Pm Pr Tm
2 2 15
direct
0.162 0.162 0.162
0.838 0.838 0.838
0.379 0.379 0.379
0.621 0.621 0.621
0.000 0.500 0.500
0.138 0.138 0.654
0.138 0.654 0.138
0.194 0.500 0.806
0.194 0.806 0.500
0.346 0.862 0.862
0.500 0.000 0.500
0.500 0.194 0.806
0.500 0.500 0.000
0.500 0.806 0.194
0.654 0.138 0.138
0.806 0.194 0.500
0.806 0.500 0.194
0.862 0.346 0.862
0.862 0.862 0.346
```


Entry 6:
Starting from a structure optimized by DFT (PBE), the powder diffractogram of Pm16Pr6Tm7 was computed for copper Kα.

Principal peaks in the range 2θ = 10–90°, in order of falling intensity:
2θ = 31.71°, d = 2.822 Å, I 1000; 2θ = 29.07°, d = 3.072 Å, I 258; 2θ = 56.49°, d = 1.629 Å, I 202; 2θ = 45.46°, d = 1.995 Å, I 123; 2θ = 43.56°, d = 2.078 Å, I 108; 2θ = 59.95°, d = 1.543 Å, I 95; 2θ = 27.37°, d = 3.258 Å, I 90; 2θ = 57.45°, d = 1.604 Å, I 84; 2θ = 80.51°, d = 1.193 Å, I 83; 2θ = 33.21°, d = 2.698 Å, I 79

Structural model:
```
Pm16Pr6Tm7
1.0
0.000 7.980 7.980
7.980 0.000 7.980
7.980 7.980 0.000
Pm Pr Tm
16 6 7
direct
0.038 0.654 0.654
0.122 0.122 0.122
0.122 0.122 0.634
0.122 0.634 0.122
0.346 0.346 0.346
0.346 0.346 0.962
0.346 0.962 0.346
0.366 0.878 0.878
0.634 0.122 0.122
0.654 0.038 0.654
0.654 0.654 0.038
0.654 0.654 0.654
0.878 0.366 0.878
0.878 0.878 0.366
0.878 0.878 0.878
0.962 0.346 0.346
0.291 0.291 0.709
0.291 0.709 0.291
0.291 0.709 0.709
0.709 0.291 0.291
0.709 0.291 0.709
0.709 0.709 0.291
0.000 0.000 0.000
0.000 0.000 0.500
0.000 0.500 0.000
0.000 0.500 0.500
0.500 0.000 0.000
0.500 0.000 0.500
0.500 0.500 0.000
```